This entry pairs a crystal structure of Ba3Br3N with its computed X-ray powder pattern. Radiation: Cu Ka. Structure: a cell relaxed with PBE.
Lines closer than 0.1° are merged.

Cell and atoms:
Lattice parameters (Å, degrees): 13.251 13.251 6.406 90.00 90.00 90.00
Space group P4_2/mnm (No. 136)
Inequivalent atoms, fractional coordinates:
Ba 0.092 0.092 0.000 x4
Ba 0.101 0.699 0.000 x8
Br 0.125 0.634 0.500 x8
Br 0.153 0.153 0.500 x4
N 0.109 0.891 0.000 x4

Most intense lines, 10 to 90 degrees two-theta, sorted by position:
Position (°2θ), I (rel.), hkl
15.4, 583, 1 0 1
24.2, 860, 3 2 0
26.9, 661, 4 0 0
27.8, 1000, 0 0 2
31.9, 562, 3 3 1
36.7, 689, 5 0 1
37.2, 562, 3 2 2
39.1, 475, 4 0 2
45.6, 220, 6 2 1
54.7, 216, 7 3 1
55.2, 207, 5 0 3
59.3, 239, 8 2 1